The following is a simulated powder diffraction line list of LaScMo2O8. It was derived from a cell relaxed with GGA+U, using Cu Kα.
Lines closer than 0.1° are merged.

Crystal structure
Unit cell a=5.242 b=5.242 c=11.226 alpha=90.00 beta=90.00 gamma=90.00
Space group I-4 (No. 82)
Asymmetric unit:
La: 0.000 0.000 0.000 [2 per cell]
Sc: 0.000 0.500 0.750 [2 per cell]
Mo: 0.000 0.000 0.500 [2 per cell]
Mo: 0.000 0.500 0.250 [2 per cell]
O: 0.179 0.226 0.590 [8 per cell]
O: 0.206 0.768 0.167 [8 per cell]

Peak list (10 most intense, 10 to 80 degrees two-theta, in order of rising 2θ)
2θ (°), I (rel.)
18.7, 7
28.9, 100
31.9, 12
34.2, 15
47.5, 32
49.2, 16
55.0, 15
58.0, 26
59.8, 9
76.8, 12